No. 1
Diffraction record for WO2. The powder XRD pattern is theoretical, not measured: it uses the PBE+U geometry in the Materials Project and Cu Ka.

Structure:
Unit cell a=10.782 b=8.483 c=4.825 alpha=90.00 beta=90.00 gamma=90.00
Fractional coordinates of all 36 atoms:
W 0.103 0.250 0.020
W 0.134 0.593 0.508
W 0.134 0.907 0.508
W 0.366 0.093 0.008
W 0.366 0.407 0.008
W 0.397 0.750 0.520
W 0.603 0.250 0.480
W 0.634 0.593 0.992
W 0.634 0.907 0.992
W 0.866 0.093 0.492
W 0.866 0.407 0.492
W 0.897 0.750 0.980
O 0.031 0.083 0.282
O 0.031 0.417 0.282
O 0.055 0.750 0.240
O 0.198 0.076 0.795
O 0.198 0.424 0.795
O 0.234 0.750 0.759
O 0.266 0.250 0.259
O 0.302 0.576 0.295
O 0.302 0.924 0.295
O 0.445 0.250 0.740
O 0.469 0.583 0.782
O 0.469 0.917 0.782
O 0.531 0.083 0.218
O 0.531 0.417 0.218
O 0.555 0.750 0.260
O 0.698 0.076 0.705
O 0.698 0.424 0.705
O 0.734 0.750 0.741
O 0.766 0.250 0.241
O 0.802 0.576 0.205
O 0.802 0.924 0.205
O 0.945 0.250 0.760
O 0.969 0.583 0.718
O 0.969 0.917 0.718

The 6 most intense peaks (2θ = 5–70°), low angle first:
- 2θ = 22.8°, I 1000
- 2θ = 29.2°, I 463
- 2θ = 32.8°, I 454
- 2θ = 33.2°, I 296
- 2θ = 35.9°, I 542
- 2θ = 52.7°, I 490



No. 2
Diffraction record for WO3. The powder XRD pattern is theoretical, not measured: it uses the PBE+U geometry in the Materials Project and Cu Ka.

Structure:
Unit cell a=7.507 b=7.507 c=7.728 alpha=90.00 beta=90.00 gamma=120.00
Fractional coordinates of all 24 atoms:
W 0.000 0.483 0.000
W 0.000 0.517 0.500
W 0.483 0.000 0.000
W 0.483 0.483 0.500
W 0.517 0.000 0.500
W 0.517 0.517 0.000
O 0.000 0.499 0.242
O 0.000 0.501 0.742
O 0.210 0.426 0.490
O 0.210 0.784 0.990
O 0.216 0.426 0.990
O 0.216 0.790 0.490
O 0.426 0.210 0.490
O 0.426 0.216 0.990
O 0.499 0.000 0.242
O 0.499 0.499 0.742
O 0.501 0.000 0.742
O 0.501 0.501 0.242
O 0.574 0.784 0.490
O 0.574 0.790 0.990
O 0.784 0.210 0.990
O 0.784 0.574 0.490
O 0.790 0.216 0.490
O 0.790 0.574 0.990

The 6 most intense peaks (2θ = 5–70°), low angle first:
- 2θ = 13.6°, I 788
- 2θ = 23.0°, I 615
- 2θ = 27.4°, I 1000
- 2θ = 36.1°, I 655
- 2θ = 54.3°, I 253
- 2θ = 55.3°, I 289



No. 3
Diffraction record for W2O5. The powder XRD pattern is theoretical, not measured: it uses the PBE+U geometry in the Materials Project and Cu Ka.

Structure:
Unit cell a=5.928 b=10.339 c=3.690 alpha=90.00 beta=90.00 gamma=90.00
Fractional coordinates of all 14 atoms:
W 0.228 0.134 0.000
W 0.272 0.634 0.000
W 0.728 0.366 0.000
W 0.772 0.866 0.000
O 0.000 0.000 0.992
O 0.042 0.277 0.975
O 0.197 0.592 0.486
O 0.303 0.092 0.486
O 0.458 0.777 0.975
O 0.500 0.500 0.992
O 0.542 0.223 0.975
O 0.697 0.908 0.486
O 0.803 0.408 0.486
O 0.958 0.723 0.975

The 6 most intense peaks (2θ = 5–70°), low angle first:
- 2θ = 22.8°, I 1000
- 2θ = 24.1°, I 425
- 2θ = 30.1°, I 182
- 2θ = 33.4°, I 542
- 2θ = 49.4°, I 190
- 2θ = 53.2°, I 186



No. 4
Diffraction record for WO3. The powder XRD pattern is theoretical, not measured: it uses the PBE+U geometry in the Materials Project and Cu Ka.

Structure:
Unit cell a=5.415 b=5.359 c=7.725 alpha=90.00 beta=90.91 gamma=90.00
Fractional coordinates of all 16 atoms:
W 0.249 0.244 0.230
W 0.249 0.256 0.730
W 0.751 0.744 0.270
W 0.751 0.756 0.770
O 0.030 0.528 0.277
O 0.030 0.972 0.777
O 0.249 0.197 0.496
O 0.249 0.303 0.996
O 0.473 0.528 0.723
O 0.473 0.972 0.223
O 0.527 0.028 0.777
O 0.527 0.472 0.277
O 0.751 0.697 0.004
O 0.751 0.803 0.504
O 0.970 0.028 0.223
O 0.970 0.472 0.723

The 6 most intense peaks (2θ = 5–70°), low angle first:
- 2θ = 23.0°, I 490
- 2θ = 23.4°, I 1000
- 2θ = 32.8°, I 281
- 2θ = 33.2°, I 258
- 2θ = 47.8°, I 185
- 2θ = 53.4°, I 181



No. 5
Diffraction record for WO3. The powder XRD pattern is theoretical, not measured: it uses the PBE+U geometry in the Materials Project and Cu Ka.

Structure:
Unit cell a=7.665 b=7.670 c=7.746 alpha=89.65 beta=89.74 gamma=89.75
Fractional coordinates of all 32 atoms:
W 0.244 0.005 0.267
W 0.246 0.506 0.233
W 0.254 0.505 0.734
W 0.256 0.004 0.766
W 0.744 0.996 0.234
W 0.746 0.495 0.266
W 0.754 0.494 0.767
W 0.756 0.995 0.733
O 0.001 0.021 0.730
O 0.001 0.480 0.770
O 0.229 0.751 0.764
O 0.230 0.016 0.003
O 0.230 0.252 0.265
O 0.231 0.516 0.496
O 0.269 0.486 0.997
O 0.270 0.251 0.736
O 0.270 0.986 0.503
O 0.271 0.752 0.235
O 0.499 0.020 0.230
O 0.499 0.479 0.270
O 0.501 0.521 0.730
O 0.501 0.980 0.770
O 0.729 0.248 0.765
O 0.730 0.014 0.497
O 0.730 0.749 0.264
O 0.731 0.514 0.003
O 0.769 0.484 0.504
O 0.770 0.748 0.735
O 0.770 0.984 0.997
O 0.771 0.249 0.236
O 0.999 0.520 0.230
O 0.999 0.979 0.270

The 6 most intense peaks (2θ = 5–70°), low angle first:
- 2θ = 23.0°, I 495
- 2θ = 23.2°, I 1000
- 2θ = 32.8°, I 276
- 2θ = 33.0°, I 407
- 2θ = 40.7°, I 156
- 2θ = 47.4°, I 188



No. 6
Diffraction record for W2O7. The powder XRD pattern is theoretical, not measured: it uses the PBE+U geometry in the Materials Project and Cu Ka.

Structure:
Unit cell a=7.212 b=7.212 c=7.212 alpha=60.00 beta=60.00 gamma=60.00
Fractional coordinates of all 18 atoms:
W 0.000 0.000 0.000
W 0.000 0.000 0.500
W 0.000 0.500 0.000
W 0.500 0.000 0.000
O 0.088 0.088 0.662
O 0.088 0.662 0.088
O 0.088 0.662 0.662
O 0.125 0.125 0.125
O 0.338 0.338 0.912
O 0.338 0.912 0.338
O 0.338 0.912 0.912
O 0.662 0.088 0.088
O 0.662 0.088 0.662
O 0.662 0.662 0.088
O 0.875 0.875 0.875
O 0.912 0.338 0.338
O 0.912 0.338 0.912
O 0.912 0.912 0.338

The 6 most intense peaks (2θ = 5–70°), low angle first:
- 2θ = 15.0°, I 1000
- 2θ = 29.0°, I 419
- 2θ = 30.4°, I 545
- 2θ = 50.6°, I 295
- 2θ = 53.1°, I 214
- 2θ = 60.2°, I 240



No. 7
Diffraction record for WO3. The powder XRD pattern is theoretical, not measured: it uses the PBE+U geometry in the Materials Project and Cu Ka.

Structure:
Unit cell a=7.720 b=3.860 c=3.867 alpha=90.00 beta=90.00 gamma=90.00
Fractional coordinates of all 8 atoms:
W 0.250 0.000 0.011
W 0.750 0.000 0.989
O 0.000 0.000 0.000
O 0.250 0.000 0.497
O 0.250 0.500 0.990
O 0.500 0.000 0.000
O 0.750 0.000 0.503
O 0.750 0.500 0.010

The 6 most intense peaks (2θ = 5–70°), low angle first:
- 2θ = 23.0°, I 1000
- 2θ = 32.8°, I 555
- 2θ = 40.5°, I 139
- 2θ = 47.1°, I 194
- 2θ = 53.0°, I 409
- 2θ = 58.5°, I 225



No. 8
Diffraction record for WO2. The powder XRD pattern is theoretical, not measured: it uses the PBE+U geometry in the Materials Project and Cu Ka.

Structure:
Unit cell a=3.154 b=5.839 c=10.723 alpha=90.00 beta=90.00 gamma=90.00
Fractional coordinates of all 12 atoms:
W 0.000 0.000 0.000
W 0.000 0.000 0.500
W 0.500 0.500 0.000
W 0.500 0.500 0.500
O 0.000 0.335 0.088
O 0.000 0.335 0.412
O 0.000 0.665 0.588
O 0.000 0.665 0.912
O 0.500 0.165 0.588
O 0.500 0.165 0.912
O 0.500 0.835 0.088
O 0.500 0.835 0.412

The 6 most intense peaks (2θ = 5–70°), low angle first:
- 2θ = 16.5°, I 1000
- 2θ = 30.6°, I 157
- 2θ = 32.3°, I 272
- 2θ = 35.0°, I 247
- 2θ = 36.5°, I 442
- 2θ = 47.1°, I 259